Theoretical powder X-ray diffraction pattern of DyEr6Ni2Se2 for λ = 1.5418 Å (Cu Kα), from a crystal structure in OQMD, relaxed with PBE.
Lines closer than 0.1° are merged.

```
data_DyEr6Ni2Se2
_chemical_formula_sum 'Dy1 Er6 Ni2 Se2'
_symmetry_space_group_name_H-M 'P 1'
_symmetry_Int_Tables_number 1
_cell_length_a 9.0135
_cell_length_b 9.0135
_cell_length_c 9.0135
_cell_angle_alpha 155.84
_cell_angle_beta 67.25
_cell_angle_gamma 118.31
loop_
_symmetry_equiv_pos_as_xyz
'x,y,z'
loop_
_atom_site_label
_atom_site_fract_x
_atom_site_fract_y
_atom_site_fract_z
Dy1 0.0000 0.0000 0.0000
Er1 0.0686 0.3839 0.6846
Er2 0.1016 0.7418 0.3598
Er3 0.3820 0.7418 0.6402
Er4 0.4630 0.5883 0.8747
Er5 0.6993 0.3839 0.3154
Er6 0.7136 0.5883 0.1253
Ni1 0.3173 0.0784 0.2390
Ni2 0.8394 0.0784 0.7610
Se1 0.3406 0.3406 0.0000
Se2 0.7421 0.2421 0.5000
```

Top 8 peaks for 5° ≤ 2θ ≤ 70°, by angle:
2theta, d_spacing, intensity
29.6, 3.015, 49.9
31.2, 2.868, 58.5
31.3, 2.855, 31.0
34.2, 2.624, 65.0
35.1, 2.557, 100.0
35.6, 2.523, 48.9
48.3, 1.886, 28.3
60.5, 1.531, 25.3